Cs3AgSe4: calculated PXRD pattern (copper Kα), based on a crystal structure in Alexandria, relaxed with PBE.
No peak broadening, texture or thermal motion is included.

Atomic structure:
```
16
Lattice="5.7240 0.0000 0.0000 0.0000 5.7884 0.0000 0.0000 0.0000 18.7509" Properties=species:S:1:pos:R:3 pbc="T T T"
Cs 0.0000 0.0000 0.0000
Cs 0.0000 2.8942 5.6756
Cs 0.0000 2.8942 13.0752
Cs 2.8620 0.0000 3.6998
Cs 2.8620 0.0000 15.0511
Cs 2.8620 2.8942 9.3754
Ag 0.0000 0.0000 9.3754
Ag 2.8620 2.8942 0.0000
Se 1.3228 2.8942 2.1519
Se 1.3228 2.8942 16.5990
Se 1.5393 0.0000 7.2235
Se 1.5393 0.0000 11.5273
Se 4.1848 0.0000 7.2235
Se 4.1848 0.0000 11.5273
Se 4.4013 2.8942 2.1519
Se 4.4013 2.8942 16.5990
```

The 12 most intense peaks (2θ = 10–90°), sorted by position:
| 2θ (°) | d/Å | I (rel.) | (hkl) |
| --- | --- | --- | --- |
| 21.0 | 4.221 | 15.7 | 1 0 3 |
| 23.8 | 3.733 | 100.0 | 1 1 2 |
| 28.4 | 3.145 | 64.3 | 0 1 5 |
| 29.1 | 3.073 | 14.4 | 1 1 4 |
| 30.9 | 2.894 | 44.3 | 0 2 0 |
| 35.3 | 2.542 | 20.4 | 2 1 1 |
| 36.8 | 2.443 | 29.9 | 2 0 4 |
| 37.9 | 2.373 | 20.9 | 2 1 3 |
| 44.6 | 2.031 | 19.6 | 1 1 8 |
| 48.8 | 1.867 | 26.3 | 2 2 4 |
| 51.4 | 1.779 | 13.0 | 3 1 2 |
| 53.8 | 1.705 | 14.0 | 2 2 6 |